Structure and calculated powder XRD pattern of BiTeN2 (a cell relaxed with PBE; Cu Kα (λ = 1.5418 Å)).

Cell and atoms:
```
BiTeN2
1.0
4.000 0.000 0.000
0.055 4.003 0.000
0.653 1.442 9.404
Bi Te N
1 1 2
direct
0.000 0.000 0.000
0.522 0.549 0.864
0.379 0.351 0.388
0.554 0.512 0.434
```

Main lines, in order of falling intensity (5° ≤ 2θ ≤ 70°):
9.40 deg, I 100
18.87 deg, I 19
31.72 deg, I 15
31.90 deg, I 11
31.79 deg, I 9
45.42 deg, I 7
28.34 deg, I 7
27.17 deg, I 7
25.71 deg, I 7
30.33 deg, I 7

=====

Structure and calculated powder XRD pattern of Al3Sb5 (a cell relaxed with PBE; Cu Kα (λ = 1.5418 Å)).

Cell and atoms:
```
Al3Sb5
1.0
3.633 -5.243 0.000
3.633 5.243 0.000
0.000 0.000 5.010
Al Sb
3 5
direct
0.000 0.000 0.000
0.249 0.751 0.500
0.751 0.249 0.500
0.000 0.500 0.000
0.235 0.235 0.500
0.500 0.000 0.000
0.500 0.500 0.000
0.765 0.765 0.500
```

Main lines, in order of falling intensity (5° ≤ 2θ ≤ 70°):
34.98 deg, I 100
24.55 deg, I 31
34.20 deg, I 27
35.85 deg, I 24
61.74 deg, I 19
50.39 deg, I 18
63.86 deg, I 17
62.17 deg, I 9
50.22 deg, I 8
23.17 deg, I 8

=====

Structure and calculated powder XRD pattern of YIn2Cu9 (a cell relaxed with PBE; Cu Kα (λ = 1.5418 Å)).

Cell and atoms:
```
YIn2Cu9
1.0
8.473 0.000 0.000
0.000 8.473 0.000
0.000 0.000 5.005
Y In Cu
2 4 18
direct
0.000 0.000 0.000
0.500 0.500 0.000
0.125 0.375 0.000
0.375 0.875 0.000
0.625 0.125 0.000
0.875 0.625 0.000
0.000 0.500 0.500
0.063 0.204 0.500
0.177 0.677 0.246
0.177 0.677 0.754
0.204 0.937 0.500
0.296 0.437 0.500
0.323 0.177 0.246
0.323 0.177 0.754
0.437 0.704 0.500
0.500 0.000 0.500
0.563 0.296 0.500
0.677 0.823 0.246
0.677 0.823 0.754
0.704 0.563 0.500
0.796 0.063 0.500
0.823 0.323 0.246
0.823 0.323 0.754
0.937 0.796 0.500
```

Main lines, in order of falling intensity (5° ≤ 2θ ≤ 70°):
38.09 deg, I 100
43.33 deg, I 96
42.49 deg, I 51
44.06 deg, I 44
41.93 deg, I 28
45.41 deg, I 22
35.88 deg, I 18
65.95 deg, I 17
34.90 deg, I 17
33.44 deg, I 17

=====

Structure and calculated powder XRD pattern of Ba2GaAuO4 (a cell relaxed with PBE; Cu Kα (λ = 1.5418 Å)).

Cell and atoms:
```
Ba2GaAuO4
1.0
-3.234 3.234 3.449
3.234 -3.234 3.449
3.234 3.234 -3.449
Ba Ga Au O
2 1 1 4
direct
0.000 0.000 0.000
0.750 0.250 0.500
0.500 0.500 0.000
0.250 0.750 0.500
0.186 0.163 0.661
0.474 0.814 0.976
0.502 0.526 0.339
0.837 0.498 0.024
```

Main lines, in order of falling intensity (5° ≤ 2θ ≤ 70°):
32.51 deg, I 100
27.58 deg, I 67
51.98 deg, I 56
39.40 deg, I 32
60.87 deg, I 18
64.42 deg, I 15
67.13 deg, I 12
68.09 deg, I 12
56.94 deg, I 9
18.81 deg, I 8

=====

Structure and calculated powder XRD pattern of Ni15MoPt6 (a cell relaxed with PBE; Cu Kα (λ = 1.5418 Å)).

Cell and atoms:
```
Ni15MoPt6
1.0
4.574 0.000 0.000
0.163 7.697 0.000
0.799 3.825 8.115
Ni Mo Pt
15 1 6
direct
0.000 0.000 0.000
0.005 0.671 0.003
0.216 0.960 0.754
0.222 0.976 0.254
0.421 0.249 0.492
0.431 0.924 0.506
0.493 0.498 0.010
0.507 0.169 0.998
0.707 0.797 0.762
0.715 0.119 0.751
0.721 0.010 0.253
0.739 0.425 0.253
0.910 0.750 0.504
0.917 0.416 0.500
0.965 0.706 0.251
0.712 0.460 0.755
0.214 0.637 0.749
0.219 0.290 0.744
0.438 0.621 0.426
0.496 0.803 0.068
0.932 0.099 0.473
0.991 0.317 0.042
```

Main lines, in order of falling intensity (5° ≤ 2θ ≤ 70°):
47.46 deg, I 100
43.82 deg, I 93
48.16 deg, I 92
41.39 deg, I 80
44.12 deg, I 80
48.70 deg, I 77
44.66 deg, I 76
40.60 deg, I 73
40.17 deg, I 71
33.12 deg, I 70

=====

Structure and calculated powder XRD pattern of PmHo2Er6Tm (a cell relaxed with PBE; Cu Kα (λ = 1.5418 Å)).

Cell and atoms:
```
PmHo2Er6Tm
1.0
4.498 -7.455 0.000
4.498 7.455 0.000
-1.144 0.000 9.366
Pm Ho Er Tm
2 4 12 2
direct
0.025 0.975 0.750
0.975 0.025 0.250
0.199 0.305 0.546
0.305 0.199 0.046
0.695 0.801 0.954
0.801 0.695 0.454
0.018 0.567 0.684
0.125 0.750 0.057
0.250 0.875 0.443
0.291 0.508 0.882
0.433 0.982 0.816
0.492 0.709 0.618
0.508 0.291 0.382
0.567 0.018 0.184
0.709 0.492 0.118
0.750 0.125 0.557
0.875 0.250 0.943
0.982 0.433 0.316
0.410 0.590 0.250
0.590 0.410 0.750
```

Main lines, in order of falling intensity (5° ≤ 2θ ≤ 70°):
31.66 deg, I 100
31.02 deg, I 98
34.37 deg, I 45
28.85 deg, I 35
31.99 deg, I 34
32.72 deg, I 18
28.53 deg, I 14
35.14 deg, I 13
51.41 deg, I 11
60.66 deg, I 11

=====

Structure and calculated powder XRD pattern of YHo6Tm4 (a cell relaxed with PBE; Cu Kα (λ = 1.5418 Å)).

Cell and atoms:
```
YHo6Tm4
1.0
2.802 -4.793 0.000
2.802 4.793 0.000
0.000 0.000 25.438
Y Ho Tm
2 12 8
direct
0.178 0.822 0.750
0.822 0.178 0.250
0.154 0.846 0.181
0.154 0.846 0.319
0.179 0.821 0.603
0.179 0.821 0.897
0.488 0.512 0.250
0.500 0.500 0.000
0.500 0.500 0.500
0.512 0.488 0.750
0.821 0.179 0.103
0.821 0.179 0.397
0.846 0.154 0.681
0.846 0.154 0.819
0.162 0.838 0.042
0.162 0.838 0.458
0.486 0.514 0.122
0.486 0.514 0.378
0.514 0.486 0.622
0.514 0.486 0.878
0.838 0.162 0.542
0.838 0.162 0.958
```

Main lines, in order of falling intensity (5° ≤ 2θ ≤ 70°):
32.25 deg, I 100
30.77 deg, I 60
33.76 deg, I 56
31.94 deg, I 54
30.88 deg, I 38
45.02 deg, I 27
57.11 deg, I 20
56.72 deg, I 16
60.94 deg, I 13
47.21 deg, I 12

=====

Structure and calculated powder XRD pattern of Nd4N2O (a cell relaxed with PBE; Cu Kα (λ = 1.5418 Å)).

Cell and atoms:
```
Nd4N2O
1.0
6.840 -1.777 0.000
6.840 1.777 0.000
-2.729 0.000 5.629
Nd N O
4 2 1
direct
0.132 0.132 0.294
0.365 0.365 0.185
0.635 0.635 0.815
0.868 0.868 0.706
0.246 0.246 0.737
0.754 0.754 0.263
0.500 0.500 0.000
```

Main lines, in order of falling intensity (5° ≤ 2θ ≤ 70°):
32.27 deg, I 100
32.57 deg, I 84
29.01 deg, I 65
32.41 deg, I 46
60.12 deg, I 44
31.80 deg, I 39
41.66 deg, I 38
50.77 deg, I 37
53.31 deg, I 29
53.98 deg, I 26